For Mn2ZnIr9, DFT lattice parameters and positions (GGA-PBE) gives the calculated powder X-ray diffraction pattern in this record (λ = 1.5418 Å (Cu Kα)).

Most intense lines, 5° ≤ 2θ ≤ 70°, low angle first:
| h k l | two_theta | intensity |
| --- | --- | --- |
| 1 0 0 | 23.20 | 13 |
| 1 1 0 | 33.04 | 11 |
| 1 1 3 | 40.76 | 100 |
| 2 0 0 | 47.43 | 49 |
| 2 1 0 | 53.44 | 6 |
| 2 1 3 | 59.01 | 4 |
| 2 2 0 | 69.32 | 31 |

```
data_Mn2ZnIr9
_chemical_formula_sum 'Mn2 Zn1 Ir9'
_cell_length_a 3.832
_cell_length_b 3.832
_cell_length_c 11.512
_cell_angle_alpha 90.00
_cell_angle_beta 90.00
_cell_angle_gamma 90.00
_symmetry_space_group_name_H-M 'P 1'
_symmetry_Int_Tables_number 1
loop_
_symmetry_equiv_pos_as_xyz
'x,y,z'
loop_
_atom_site_label
_atom_site_type_symbol
_atom_site_fract_x
_atom_site_fract_y
_atom_site_fract_z
Mn1 Mn 0.000 0.000 0.169
Mn2 Mn 0.000 0.000 0.831
Zn1 Zn 0.000 0.000 0.500
Ir1 Ir 0.000 0.500 0.000
Ir2 Ir 0.000 0.500 0.327
Ir3 Ir 0.000 0.500 0.673
Ir4 Ir 0.500 0.000 0.000
Ir5 Ir 0.500 0.000 0.327
Ir6 Ir 0.500 0.000 0.673
Ir7 Ir 0.500 0.500 0.164
Ir8 Ir 0.500 0.500 0.500
Ir9 Ir 0.500 0.500 0.836
```